Structure and computed XRD peak list of Cs2TeO4 (a structure optimized by DFT (GGA-PBE); λ = 1.5418 Å (Cu Kα)).
No peak broadening, texture or thermal motion is included.

Cell and atoms:
Unit cell a=8.7398 b=6.7471 c=11.9477 alpha=90.00 beta=90.00 gamma=90.00
Space group Pnma (No. 62)
Unique sites:
Cs 0.0035 0.2500 0.2144
Cs 0.1726 0.7500 0.4156
Te 0.2191 0.7500 0.0783
O 0.0081 0.7500 0.0707
O 0.1920 0.2500 0.4372
O 0.2137 0.0254 0.6529

The 10 most intense peaks (10 to 90 degrees two-theta), in order of rising 2θ:
d (Å), Rel. int.
3.668, 171
3.527, 348
3.506, 725
3.430, 1000
3.374, 558
2.608, 198
2.467, 150
2.438, 310
1.992, 204
1.958, 198